(1)
This entry pairs a crystal structure of Hf3Ge4Au4 with its simulated powder diffraction line list. Radiation: copper Kα. Structure: a structure optimized by DFT (PBE).
Kinematic intensities with the Lorentz-polarization factor, no thermal factor.

Largest 8 diffraction maxima, low angle first, 2θ from 10° to 90°:
Position (°2θ), I_rel
22.7, 21
37.8, 100
37.9, 94
40.3, 35
45.7, 29
45.9, 29
62.7, 29
66.8, 19

Structure:
Cell lengths 3.957, 3.970, 13.699 Å; angles 81.85, 81.77, 89.97 degrees
Sites, in units of the cell vectors:
Hf 0.000 0.000 0.000
Hf 0.326 0.339 0.336
Hf 0.658 0.661 0.680
Ge 0.152 0.154 0.693
Ge 0.409 0.911 0.169
Ge 0.515 0.514 0.970
Ge 0.817 0.829 0.354
Au 0.081 0.583 0.835
Au 0.241 0.749 0.511
Au 0.739 0.246 0.514
Au 0.910 0.415 0.165

***

(2)
This entry pairs a crystal structure of HgGeAu2 with its simulated powder diffraction line list. Radiation: copper Kα. Structure: a structure optimized by DFT (PBE).
Kinematic intensities with the Lorentz-polarization factor, no thermal factor.

Largest 8 diffraction maxima, low angle first, 2θ from 10° to 90°:
Position (°2θ), I_rel
24.2, 24
25.4, 31
28.8, 37
29.8, 26
39.8, 100
40.6, 37
41.8, 22
44.0, 46

Structure:
Cell lengths 5.741, 17.274, 7.017 Å; angles 90.00, 90.00, 90.00 degrees
Sites, in units of the cell vectors:
Hg 0.249 0.195 0.118
Hg 0.249 0.305 0.618
Hg 0.251 0.695 0.118
Hg 0.251 0.805 0.618
Hg 0.749 0.195 0.382
Hg 0.749 0.305 0.882
Hg 0.751 0.695 0.382
Hg 0.751 0.805 0.882
Ge 0.249 0.058 0.576
Ge 0.249 0.442 0.076
Ge 0.251 0.558 0.576
Ge 0.251 0.942 0.076
Ge 0.749 0.058 0.924
Ge 0.749 0.442 0.424
Ge 0.751 0.558 0.924
Ge 0.751 0.942 0.424
Au 0.000 0.053 0.249
Au 0.000 0.447 0.749
Au 0.000 0.553 0.251
Au 0.000 0.947 0.751
Au 0.001 0.666 0.750
Au 0.001 0.834 0.250
Au 0.499 0.166 0.750
Au 0.499 0.334 0.250
Au 0.500 0.053 0.251
Au 0.500 0.447 0.751
Au 0.500 0.553 0.249
Au 0.500 0.947 0.749
Au 0.501 0.666 0.750
Au 0.501 0.834 0.250
Au 0.999 0.166 0.750
Au 0.999 0.334 0.250

***

(3)
This entry pairs a crystal structure of HgGeAu4 with its simulated powder diffraction line list. Radiation: copper Kα. Structure: a structure optimized by DFT (PBE).
Kinematic intensities with the Lorentz-polarization factor, no thermal factor.

Largest 8 diffraction maxima, low angle first, 2θ from 10° to 90°:
Position (°2θ), I_rel
35.6, 100
38.9, 41
39.0, 41
39.9, 76
49.6, 18
52.7, 15
65.4, 14
67.4, 20

Structure:
Cell lengths 5.055, 5.059, 9.574 Å; angles 104.58, 104.27, 93.24 degrees
Sites, in units of the cell vectors:
Hg 0.223 0.279 0.000
Hg 0.777 0.721 0.000
Ge 0.000 0.500 0.500
Ge 0.500 0.000 0.500
Au 0.058 0.105 0.660
Au 0.192 0.696 0.825
Au 0.368 0.869 0.175
Au 0.398 0.443 0.340
Au 0.602 0.557 0.660
Au 0.632 0.131 0.825
Au 0.808 0.304 0.175
Au 0.942 0.895 0.340

***

(4)
This entry pairs a crystal structure of HgGeAu with its simulated powder diffraction line list. Radiation: copper Kα. Structure: a structure optimized by DFT (PBE).
Kinematic intensities with the Lorentz-polarization factor, no thermal factor.

Largest 8 diffraction maxima, low angle first, 2θ from 10° to 90°:
Position (°2θ), I_rel
17.6, 94
17.7, 100
32.3, 38
33.7, 88
34.6, 72
36.2, 38
41.8, 40
48.7, 52

Structure:
Cell lengths 3.044, 5.211, 10.961 Å; angles 102.11, 95.76, 96.22 degrees
Sites, in units of the cell vectors:
Hg 0.000 0.000 0.000
Hg 0.157 0.140 0.270
Ge 0.361 0.357 0.714
Ge 0.793 0.782 0.556
Au 0.389 0.882 0.767
Au 0.766 0.257 0.503

***

(5)
This entry pairs a crystal structure of Hg5Ge2Au5 with its simulated powder diffraction line list. Radiation: copper Kα. Structure: a structure optimized by DFT (PBE).
Kinematic intensities with the Lorentz-polarization factor, no thermal factor.

Largest 8 diffraction maxima, low angle first, 2θ from 10° to 90°:
Position (°2θ), I_rel
28.6, 100
29.4, 83
35.2, 49
37.4, 63
37.6, 53
37.9, 75
40.5, 49
43.3, 60

Structure:
Cell lengths 4.198, 7.618, 9.651 Å; angles 108.91, 94.52, 105.82 degrees
Sites, in units of the cell vectors:
Hg 0.000 0.000 0.000
Hg 0.316 0.648 0.966
Hg 0.389 0.671 0.363
Hg 0.611 0.329 0.637
Hg 0.684 0.352 0.034
Ge 0.152 0.173 0.311
Ge 0.848 0.827 0.689
Au 0.000 0.000 0.500
Au 0.080 0.223 0.806
Au 0.235 0.615 0.654
Au 0.765 0.385 0.346
Au 0.920 0.777 0.194

***

(6)
This entry pairs a crystal structure of HgGePb2Au6 with its simulated powder diffraction line list. Radiation: copper Kα. Structure: a structure optimized by DFT (PBE).
Kinematic intensities with the Lorentz-polarization factor, no thermal factor.

Largest 8 diffraction maxima, low angle first, 2θ from 10° to 90°:
Position (°2θ), I_rel
27.0, 44
27.6, 58
31.8, 62
36.9, 82
37.3, 90
38.6, 100
40.3, 71
55.8, 51

Structure:
Cell lengths 5.718, 8.950, 9.346 Å; angles 90.00, 90.00, 90.00 degrees
Sites, in units of the cell vectors:
Hg 0.250 0.250 0.213
Hg 0.750 0.750 0.787
Ge 0.250 0.750 0.262
Ge 0.750 0.250 0.738
Pb 0.250 0.517 0.786
Pb 0.250 0.983 0.786
Pb 0.750 0.017 0.214
Pb 0.750 0.483 0.214
Au 0.002 0.250 0.960
Au 0.003 0.250 0.486
Au 0.250 0.505 0.401
Au 0.250 0.995 0.401
Au 0.497 0.250 0.486
Au 0.498 0.250 0.960
Au 0.502 0.750 0.040
Au 0.503 0.750 0.514
Au 0.750 0.005 0.599
Au 0.750 0.495 0.599
Au 0.997 0.750 0.514
Au 0.998 0.750 0.040

***

(7)
This entry pairs a crystal structure of ThHgGeAu with its simulated powder diffraction line list. Radiation: copper Kα. Structure: a structure optimized by DFT (PBE).
Kinematic intensities with the Lorentz-polarization factor, no thermal factor.

Largest 8 diffraction maxima, low angle first, 2θ from 10° to 90°:
Position (°2θ), I_rel
21.4, 7
24.8, 6
35.4, 100
41.7, 4
50.9, 18
63.5, 37
74.8, 12
85.6, 17

Structure:
Cell lengths 7.179, 7.179, 7.179 Å; angles 90.00, 90.00, 90.00 degrees
Sites, in units of the cell vectors:
Th 0.000 0.000 0.000
Th 0.000 0.500 0.500
Th 0.500 0.000 0.500
Th 0.500 0.500 0.000
Hg 0.000 0.000 0.500
Hg 0.000 0.500 0.000
Hg 0.500 0.000 0.000
Hg 0.500 0.500 0.500
Ge 0.250 0.250 0.250
Ge 0.250 0.750 0.750
Ge 0.750 0.250 0.750
Ge 0.750 0.750 0.250
Au 0.250 0.250 0.750
Au 0.250 0.750 0.250
Au 0.750 0.250 0.250
Au 0.750 0.750 0.750

***

(8)
This entry pairs a crystal structure of TlHgGeAu2 with its simulated powder diffraction line list. Radiation: copper Kα. Structure: a structure optimized by DFT (PBE).
Kinematic intensities with the Lorentz-polarization factor, no thermal factor.

Largest 8 diffraction maxima, low angle first, 2θ from 10° to 90°:
Position (°2θ), I_rel
26.3, 21
27.2, 100
34.8, 23
35.8, 20
36.5, 35
37.1, 40
39.5, 42
40.9, 19

Structure:
Cell lengths 7.673, 7.673, 10.311 Å; angles 130.80, 130.80, 34.63 degrees
Sites, in units of the cell vectors:
Tl 0.003 0.003 0.346
Tl 0.997 0.997 0.654
Hg 0.272 0.272 0.374
Hg 0.728 0.728 0.626
Ge 0.364 0.364 0.952
Ge 0.636 0.636 0.048
Au 0.224 0.224 0.053
Au 0.407 0.407 0.741
Au 0.593 0.593 0.259
Au 0.776 0.776 0.947